# 1
Li9Mn2Co5O16: theoretical XRD peak list (Cu Ka), based on a cell relaxed with PBE+U.

Structural model:
Cell lengths 5.0515, 5.0987, 11.6996 Å; angles 90.89, 91.65, 108.65 degrees
Fractional positions:
Li 0.0000 0.0000 0.0000
Li 0.0000 0.0000 0.5000
Li 0.0040 0.0032 0.2476
Li 0.4965 0.0026 0.8780
Li 0.4986 0.9989 0.3757
Li 0.5000 0.5000 0.0000
Li 0.5014 0.0011 0.6243
Li 0.5035 0.9974 0.1220
Li 0.9960 0.9968 0.7524
Mn 0.0022 0.5072 0.1221
Mn 0.9978 0.4928 0.8779
Co 0.0046 0.5012 0.3754
Co 0.4944 0.4920 0.7561
Co 0.5000 0.5000 0.5000
Co 0.5056 0.5080 0.2439
Co 0.9954 0.4988 0.6246
O 0.2187 0.7258 0.0013
O 0.2288 0.2634 0.8749
O 0.2350 0.7148 0.7590
O 0.2409 0.7352 0.5013
O 0.2505 0.7290 0.2453
O 0.2539 0.2697 0.3818
O 0.2545 0.2825 0.1348
O 0.2584 0.2782 0.6316
O 0.7416 0.7218 0.3684
O 0.7455 0.7175 0.8652
O 0.7461 0.7303 0.6182
O 0.7495 0.2710 0.7547
O 0.7591 0.2648 0.4987
O 0.7650 0.2852 0.2410
O 0.7712 0.7366 0.1251
O 0.7813 0.2742 0.9987

Top 6 peaks for 10° ≤ 2θ ≤ 90°, most intense first:
- 2θ = 18.4°, intensity 1000
- 2θ = 42.7°, intensity 296
- 2θ = 43.9°, intensity 270
- 2θ = 44.4°, intensity 260
- 2θ = 62.9°, intensity 229
- 2θ = 35.4°, intensity 152


# 2
CoSbO4: theoretical XRD peak list (Cu Ka), based on a cell relaxed with PBE+U.

Structural model:
Cell lengths 5.9470, 5.9470, 5.9470 Å; angles 122.43, 116.12, 91.34 degrees
Fractional positions:
Co 0.5000 0.0000 0.0000
Co 0.5000 0.5000 0.5000
Sb 0.0000 0.0000 0.0000
Sb 0.5000 0.0000 0.5000
O 0.2644 0.2492 0.4848
O 0.2644 0.7796 0.0152
O 0.2829 0.2389 0.0440
O 0.3050 0.7611 0.5440
O 0.6950 0.2389 0.4560
O 0.7171 0.7611 0.9560
O 0.7356 0.2204 0.9848
O 0.7356 0.7508 0.5152

Top 6 peaks for 10° ≤ 2θ ≤ 90°, most intense first:
- 2θ = 18.8°, intensity 1000
- 2θ = 42.7°, intensity 426
- 2θ = 17.7°, intensity 423
- 2θ = 34.3°, intensity 394
- 2θ = 62.6°, intensity 237
- 2θ = 43.6°, intensity 204


# 3
BaMgFeF7: theoretical XRD peak list (Cu Ka), based on a cell relaxed with PBE+U.

Structural model:
Cell lengths 5.6403, 9.9949, 9.7043 Å; angles 90.00, 93.08, 90.00 degrees
Fractional positions:
Ba 0.2365 0.1781 0.0010
Ba 0.2365 0.3219 0.5010
Ba 0.7635 0.6781 0.4990
Ba 0.7635 0.8219 0.9990
Mg 0.1977 0.6052 0.8100
Mg 0.1977 0.8948 0.3100
Mg 0.8023 0.1052 0.6900
Mg 0.8023 0.3948 0.1900
Fe 0.3051 0.6096 0.1872
Fe 0.3051 0.8904 0.6872
Fe 0.6949 0.1096 0.3128
Fe 0.6949 0.3904 0.8128
F 0.0292 0.7137 0.2490
F 0.0292 0.7863 0.7490
F 0.1128 0.5414 0.6273
F 0.1128 0.9586 0.1273
F 0.1273 0.0492 0.6311
F 0.1273 0.4508 0.1311
F 0.2426 0.6886 0.0011
F 0.2426 0.8114 0.5011
F 0.3851 0.0537 0.3741
F 0.3851 0.4463 0.8741
F 0.3890 0.5420 0.3671
F 0.3890 0.9580 0.8671
F 0.4735 0.7201 0.7482
F 0.4735 0.7799 0.2482
F 0.5265 0.2201 0.7518
F 0.5265 0.2799 0.2518
F 0.6110 0.0420 0.1329
F 0.6110 0.4580 0.6329
F 0.6149 0.5537 0.1259
F 0.6149 0.9463 0.6259
F 0.7574 0.1886 0.4989
F 0.7574 0.3114 0.9989
F 0.8727 0.5492 0.8689
F 0.8727 0.9508 0.3689
F 0.8872 0.0414 0.8727
F 0.8872 0.4586 0.3727
F 0.9708 0.2137 0.2510
F 0.9708 0.2863 0.7510

Top 6 peaks for 10° ≤ 2θ ≤ 90°, most intense first:
- 2θ = 25.2°, intensity 1000
- 2θ = 26.4°, intensity 517
- 2θ = 40.8°, intensity 464
- 2θ = 40.4°, intensity 303
- 2θ = 52.4°, intensity 286
- 2θ = 41.4°, intensity 238


# 4
Ba2AlCr3O7: theoretical XRD peak list (Cu Ka), based on a cell relaxed with PBE+U.

Structural model:
Cell lengths 3.8263, 3.9681, 11.5769 Å; angles 90.00, 90.00, 90.00 degrees
Fractional positions:
Ba 0.0000 0.0000 0.1851
Ba 0.0000 0.0000 0.8149
Al 0.0000 0.0000 0.5000
Cr 0.5000 0.5000 0.0000
Cr 0.5000 0.5000 0.3607
Cr 0.5000 0.5000 0.6393
O 0.0000 0.5000 0.3930
O 0.0000 0.5000 0.6070
O 0.5000 0.0000 0.0000
O 0.5000 0.0000 0.3926
O 0.5000 0.0000 0.6074
O 0.5000 0.5000 0.1798
O 0.5000 0.5000 0.8202

Top 6 peaks for 10° ≤ 2θ ≤ 90°, most intense first:
- 2θ = 32.5°, intensity 1000
- 2θ = 33.0°, intensity 988
- 2θ = 32.4°, intensity 871
- 2θ = 57.5°, intensity 380
- 2θ = 45.7°, intensity 377
- 2θ = 47.5°, intensity 320


# 5
V3OF11: theoretical XRD peak list (Cu Ka), based on a cell relaxed with PBE+U.

Structural model:
Cell lengths 5.2703, 5.4542, 14.7898 Å; angles 100.28, 90.01, 90.09 degrees
Fractional positions:
V 0.0000 0.0000 0.0000
V 0.0039 0.3354 0.6684
V 0.0287 0.6278 0.3316
V 0.4950 0.5021 0.0076
V 0.5040 0.8354 0.6684
V 0.5120 0.1574 0.3357
O 0.2091 0.3766 0.3121
O 0.4223 0.5467 0.1155
F 0.0765 0.7288 0.4507
F 0.0908 0.3770 0.7855
F 0.0916 0.0444 0.1168
F 0.2028 0.0260 0.6433
F 0.2119 0.6960 0.9752
F 0.2934 0.8592 0.3101
F 0.3010 0.1996 0.9755
F 0.3049 0.5260 0.6435
F 0.4161 0.2177 0.4520
F 0.4165 0.8785 0.7855
F 0.5803 0.1305 0.2169
F 0.5878 0.7929 0.5508
F 0.5940 0.4602 0.8863
F 0.7030 0.1447 0.6924
F 0.7058 0.8050 0.0257
F 0.7175 0.4721 0.3586
F 0.7966 0.3061 0.0258
F 0.7967 0.9737 0.3582
F 0.8052 0.6457 0.6929
F 0.9119 0.6369 0.2197
F 0.9182 0.2957 0.5510
F 0.9218 0.9592 0.8828

Top 6 peaks for 10° ≤ 2θ ≤ 90°, most intense first:
- 2θ = 25.2°, intensity 1000
- 2θ = 18.3°, intensity 746
- 2θ = 25.3°, intensity 326
- 2θ = 48.0°, intensity 224
- 2θ = 39.1°, intensity 143
- 2θ = 53.1°, intensity 123


Please write out number 3 again, unchanged.
BaMgFeF7: theoretical XRD peak list (Cu Ka), based on a cell relaxed with PBE+U.

Structural model:
Cell lengths 5.6403, 9.9949, 9.7043 Å; angles 90.00, 93.08, 90.00 degrees
Fractional positions:
Ba 0.2365 0.1781 0.0010
Ba 0.2365 0.3219 0.5010
Ba 0.7635 0.6781 0.4990
Ba 0.7635 0.8219 0.9990
Mg 0.1977 0.6052 0.8100
Mg 0.1977 0.8948 0.3100
Mg 0.8023 0.1052 0.6900
Mg 0.8023 0.3948 0.1900
Fe 0.3051 0.6096 0.1872
Fe 0.3051 0.8904 0.6872
Fe 0.6949 0.1096 0.3128
Fe 0.6949 0.3904 0.8128
F 0.0292 0.7137 0.2490
F 0.0292 0.7863 0.7490
F 0.1128 0.5414 0.6273
F 0.1128 0.9586 0.1273
F 0.1273 0.0492 0.6311
F 0.1273 0.4508 0.1311
F 0.2426 0.6886 0.0011
F 0.2426 0.8114 0.5011
F 0.3851 0.0537 0.3741
F 0.3851 0.4463 0.8741
F 0.3890 0.5420 0.3671
F 0.3890 0.9580 0.8671
F 0.4735 0.7201 0.7482
F 0.4735 0.7799 0.2482
F 0.5265 0.2201 0.7518
F 0.5265 0.2799 0.2518
F 0.6110 0.0420 0.1329
F 0.6110 0.4580 0.6329
F 0.6149 0.5537 0.1259
F 0.6149 0.9463 0.6259
F 0.7574 0.1886 0.4989
F 0.7574 0.3114 0.9989
F 0.8727 0.5492 0.8689
F 0.8727 0.9508 0.3689
F 0.8872 0.0414 0.8727
F 0.8872 0.4586 0.3727
F 0.9708 0.2137 0.2510
F 0.9708 0.2863 0.7510

Top 6 peaks for 10° ≤ 2θ ≤ 90°, most intense first:
- 2θ = 25.2°, intensity 1000
- 2θ = 26.4°, intensity 517
- 2θ = 40.8°, intensity 464
- 2θ = 40.4°, intensity 303
- 2θ = 52.4°, intensity 286
- 2θ = 41.4°, intensity 238


Repeat the second record exactly.
CoSbO4: theoretical XRD peak list (Cu Ka), based on a cell relaxed with PBE+U.

Structural model:
Cell lengths 5.9470, 5.9470, 5.9470 Å; angles 122.43, 116.12, 91.34 degrees
Fractional positions:
Co 0.5000 0.0000 0.0000
Co 0.5000 0.5000 0.5000
Sb 0.0000 0.0000 0.0000
Sb 0.5000 0.0000 0.5000
O 0.2644 0.2492 0.4848
O 0.2644 0.7796 0.0152
O 0.2829 0.2389 0.0440
O 0.3050 0.7611 0.5440
O 0.6950 0.2389 0.4560
O 0.7171 0.7611 0.9560
O 0.7356 0.2204 0.9848
O 0.7356 0.7508 0.5152

Top 6 peaks for 10° ≤ 2θ ≤ 90°, most intense first:
- 2θ = 18.8°, intensity 1000
- 2θ = 42.7°, intensity 426
- 2θ = 17.7°, intensity 423
- 2θ = 34.3°, intensity 394
- 2θ = 62.6°, intensity 237
- 2θ = 43.6°, intensity 204